Diffraction record for Hf8Zr2Pa. The powder X-ray diffraction pattern is computed, not measured: it uses a GGA-PBE-relaxed structure and Cu Ka.

Top 6 peaks for 2θ = 10–90°, in order of rising 2θ:
| d (Å) | I (rel.) |
| --- | --- |
| 2.599 | 100 |
| 2.293 | 17 |
| 2.234 | 16 |
| 2.227 | 16 |
| 1.600 | 11 |
| 1.597 | 11 |

Cell and atoms:
Cell: 3.158 7.801 10.561 Å, 102.66 98.46 90.15°
Space group P-1 (No. 2)
Inequivalent atoms, fractional coordinates:
Hf (0.050, 0.375, 0.098) x2
Hf (0.137, 0.098, 0.277) x2
Hf (0.319, 0.550, 0.637) x2
Hf (0.411, 0.267, 0.824) x2
Zr (0.225, 0.814, 0.449) x2
Pa (0.500, 0.000, 0.000) x1